# 1
Computed X-ray powder pattern
Compound: TmBi3S6
Radiation: λ = 1.5418 Å (Cu Kα)
Structure: a crystal structure in Alexandria, relaxed with GGA-PBE
No peak broadening, texture or thermal motion is included.

The 10 most intense peaks (2θ = 10–80°), by intensity:
| two_theta | Rel. int. |
| --- | --- |
| 25.16 | 100 |
| 23.87 | 88 |
| 38.38 | 76 |
| 43.55 | 44 |
| 34.95 | 43 |
| 44.33 | 43 |
| 17.27 | 39 |
| 50.83 | 23 |
| 77.62 | 23 |
| 60.05 | 20 |

Cell and atoms:
```
data_TmBi3S6
_symmetry_space_group_name_H-M 'R 3'
_symmetry_Int_Tables_number 146
_symmetry_space_group_name_Hall 'R 3'
_cell_length_a 7.0790
_cell_length_b 7.0790
_cell_length_c 18.7867
_cell_angle_alpha 90.00
_cell_angle_beta 90.00
_cell_angle_gamma 120.00
loop_
_atom_site_label
_atom_site_type_symbol
_atom_site_fract_x
_atom_site_fract_y
_atom_site_fract_z
Tm1 Tm 0.0000 0.0000 0.0000
Bi1 Bi 0.0000 0.0000 0.2001
Bi2 Bi 0.0000 0.0000 0.4991
Bi3 Bi 0.0000 0.0000 0.6991
S1 S 0.0079 0.7140 0.0976
S2 S 0.0183 0.3110 0.6010
```



# 2
Computed X-ray powder pattern
Compound: TmBi2S4
Radiation: λ = 1.5418 Å (Cu Kα)
Structure: a crystal structure in Alexandria, relaxed with GGA-PBE
No peak broadening, texture or thermal motion is included.

The 10 most intense peaks (2θ = 10–80°), by intensity:
| two_theta | Rel. int. |
| --- | --- |
| 27.17 | 100 |
| 24.26 | 96 |
| 34.62 | 56 |
| 36.74 | 49 |
| 18.48 | 41 |
| 44.50 | 29 |
| 25.34 | 28 |
| 53.97 | 23 |
| 49.70 | 23 |
| 39.59 | 20 |

Cell and atoms:
```
data_TmBi2S4
_symmetry_space_group_name_H-M 'P b a m'
_symmetry_Int_Tables_number 55
_cell_length_a 7.3134
_cell_length_b 12.7269
_cell_length_c 3.8343
_cell_angle_alpha 90.00
_cell_angle_beta 90.00
_cell_angle_gamma 90.00
loop_
_symmetry_equiv_pos_as_xyz
'x,y,z'
'-x,-y,-z'
'-x,-y,z'
'x,y,-z'
'x+1/2,-y+1/2,-z'
'-x+1/2,y+1/2,z'
'-x+1/2,y+1/2,-z'
'x+1/2,-y+1/2,z'
loop_
_atom_site_label
_atom_site_type_symbol
_atom_site_fract_x
_atom_site_fract_y
_atom_site_fract_z
Tm1 Tm 0.0000 0.0000 0.0000
Bi1 Bi 0.1054 0.3420 0.5000
S1 S 0.1200 0.7956 0.0000
S2 S 0.2490 0.5400 0.5000
```